Diffraction record for Pm4ErS4. The powder XRD pattern is computed, not measured: it uses a cell relaxed with PBE and Cu Kα (weighted mean of Kα1 and Kα2).
Intensities are scaled so that the largest is 100.

Crystal structure
abc: 8.8569 8.8569 5.6717
angles: 90.00 90.00 90.00
Space group I4/m (No. 87)
Symmetry-distinct sites (fractional):
Pm1 0.0998 0.6982 0.0000 x8
Er1 0.0000 0.0000 0.5000 x2
S1 0.0969 0.7064 0.5000 x8

Most intense lines, 10° ≤ 2θ ≤ 80°, low angle first:
2θ/deg	I (rel.)
27.47	100
31.55	36
31.95	70
45.52	52
45.82	25
53.72	16
54.25	32
56.69	27
73.22	13
75.09	12